1.
This entry pairs a crystal structure of PrSmTl with its simulated powder XRD pattern. Radiation: CuKα. Structure: the GGA-PBE geometry in Alexandria.

Crystal structure
Lattice parameters (Å, degrees): 3.745 3.745 13.715 90.00 90.00 90.00
Element x y z (fractional)
Pr (0.000, 0.000, 0.000)
Pr (0.500, 0.500, 0.500)
Sm (0.000, 0.000, 0.690)
Sm (0.500, 0.500, 0.190)
Tl (0.000, 0.000, 0.340)
Tl (0.500, 0.500, 0.840)

Principal peaks in the range 2θ from 15° to 90°, in order of falling intensity:
- 30.86 deg, I = 100
- 33.85 deg, I = 40
- 58.71 deg, I = 33
- 52.91 deg, I = 20
- 48.62 deg, I = 15
- 39.42 deg, I = 12

2.
This entry pairs a crystal structure of Pm4Sm3Dy4 with its simulated powder XRD pattern. Radiation: CuKα. Structure: the GGA-PBE geometry in Alexandria.

Crystal structure
Lattice parameters (Å, degrees): 10.699 6.698 6.698 50.74 90.00 90.00
Element x y z (fractional)
Pm (0.000, 0.000, 0.000)
Pm (0.210, 0.793, 0.793)
Pm (0.500, 0.924, 0.924)
Pm (0.790, 0.793, 0.793)
Sm (0.000, 0.294, 0.294)
Sm (0.292, 0.448, 0.448)
Sm (0.708, 0.448, 0.448)
Dy (0.000, 0.593, 0.593)
Dy (0.301, 0.143, 0.143)
Dy (0.500, 0.653, 0.653)
Dy (0.699, 0.143, 0.143)

Principal peaks in the range 2θ from 15° to 90°, in order of falling intensity:
- 31.86 deg, I = 100
- 31.17 deg, I = 38
- 30.42 deg, I = 32
- 55.90 deg, I = 20
- 30.71 deg, I = 17
- 33.50 deg, I = 15

3.
This entry pairs a crystal structure of Li2PmPt9 with its simulated powder XRD pattern. Radiation: CuKα. Structure: the GGA-PBE geometry in Alexandria.

Crystal structure
Lattice parameters (Å, degrees): 9.279 9.279 9.279 33.42 33.42 33.42
Element x y z (fractional)
Li (0.146, 0.146, 0.146)
Li (0.854, 0.854, 0.854)
Pm (0.000, 0.000, 0.000)
Pt (0.082, 0.588, 0.588)
Pt (0.333, 0.333, 0.333)
Pt (0.412, 0.412, 0.918)
Pt (0.412, 0.918, 0.412)
Pt (0.500, 0.500, 0.500)
Pt (0.588, 0.082, 0.588)
Pt (0.588, 0.588, 0.082)
Pt (0.667, 0.667, 0.667)
Pt (0.918, 0.412, 0.412)

Principal peaks in the range 2θ from 15° to 90°, in order of falling intensity:
- 39.56 deg, I = 100
- 19.51 deg, I = 71
- 42.76 deg, I = 53
- 41.26 deg, I = 41
- 46.14 deg, I = 38
- 85.20 deg, I = 32

4.
This entry pairs a crystal structure of La2PmPr5Tm with its simulated powder XRD pattern. Radiation: CuKα. Structure: the GGA-PBE geometry in Alexandria.

Crystal structure
Lattice parameters (Å, degrees): 10.443 10.443 10.443 130.37 130.37 72.82
Element x y z (fractional)
La (0.121, 0.621, 0.741)
La (0.379, 0.121, 0.500)
La (0.621, 0.879, 0.500)
La (0.879, 0.379, 0.259)
Pm (0.250, 0.250, 0.000)
Pm (0.750, 0.750, 0.000)
Pr (0.000, 0.000, 0.000)
Pr (0.077, 0.135, 0.500)
Pr (0.135, 0.635, 0.059)
Pr (0.365, 0.423, 0.500)
Pr (0.423, 0.923, 0.059)
Pr (0.500, 0.500, 0.000)
Pr (0.577, 0.077, 0.941)
Pr (0.635, 0.577, 0.500)
Pr (0.865, 0.365, 0.941)
Pr (0.923, 0.865, 0.500)
Tm (0.250, 0.750, 0.500)
Tm (0.750, 0.250, 0.500)

Principal peaks in the range 2θ from 15° to 90°, in order of falling intensity:
- 29.45 deg, I = 100
- 28.81 deg, I = 54
- 27.77 deg, I = 36
- 51.44 deg, I = 30
- 38.12 deg, I = 14
- 52.62 deg, I = 12

5.
This entry pairs a crystal structure of Ho2ErNpO8 with its simulated powder XRD pattern. Radiation: CuKα. Structure: the GGA-PBE geometry in Alexandria.

Crystal structure
Lattice parameters (Å, degrees): 5.062 5.062 6.952 90.00 90.00 91.06
Element x y z (fractional)
Ho (0.000, 0.000, 0.240)
Ho (0.000, 0.000, 0.760)
Er (0.500, 0.500, 0.000)
Np (0.500, 0.500, 0.500)
O (0.193, 0.193, 0.000)
O (0.217, 0.217, 0.500)
O (0.317, 0.683, 0.275)
O (0.317, 0.683, 0.725)
O (0.683, 0.317, 0.275)
O (0.683, 0.317, 0.725)
O (0.783, 0.783, 0.500)
O (0.807, 0.807, 0.000)

Principal peaks in the range 2θ from 15° to 90°, in order of falling intensity:
- 31.22 deg, I = 100
- 24.65 deg, I = 56
- 25.11 deg, I = 51
- 47.70 deg, I = 40
- 48.23 deg, I = 37
- 35.48 deg, I = 30

6.
This entry pairs a crystal structure of DyCrSe3 with its simulated powder XRD pattern. Radiation: CuKα. Structure: the GGA-PBE geometry in Alexandria.

Crystal structure
Lattice parameters (Å, degrees): 7.246 3.777 7.873 90.00 99.66 90.00
Element x y z (fractional)
Dy (0.109, 0.250, 0.298)
Dy (0.891, 0.750, 0.702)
Cr (0.384, 0.750, 0.883)
Cr (0.616, 0.250, 0.117)
Se (0.145, 0.250, 0.915)
Se (0.228, 0.750, 0.562)
Se (0.419, 0.750, 0.187)
Se (0.581, 0.250, 0.813)
Se (0.772, 0.250, 0.438)
Se (0.855, 0.750, 0.085)

Principal peaks in the range 2θ from 15° to 90°, in order of falling intensity:
- 34.56 deg, I = 100
- 42.49 deg, I = 58
- 38.96 deg, I = 57
- 33.10 deg, I = 48
- 29.95 deg, I = 47
- 48.20 deg, I = 45

7.
This entry pairs a crystal structure of KLiSbO4 with its simulated powder XRD pattern. Radiation: CuKα. Structure: the GGA-PBE geometry in Alexandria.

Crystal structure
Lattice parameters (Å, degrees): 5.798 5.798 7.824 90.00 90.00 90.00
Element x y z (fractional)
K (0.000, 0.000, 0.000)
K (0.500, 0.500, 0.500)
Li (0.000, 0.500, 0.750)
Li (0.500, 0.000, 0.250)
Sb (0.000, 0.000, 0.500)
Sb (0.500, 0.500, 0.000)
O (0.139, 0.235, 0.636)
O (0.235, 0.861, 0.364)
O (0.265, 0.639, 0.864)
O (0.361, 0.265, 0.136)
O (0.639, 0.735, 0.136)
O (0.735, 0.361, 0.864)
O (0.765, 0.139, 0.364)
O (0.861, 0.765, 0.636)

Principal peaks in the range 2θ from 15° to 90°, in order of falling intensity:
- 21.67 deg, I = 100
- 19.05 deg, I = 100
- 31.61 deg, I = 89
- 38.66 deg, I = 45
- 22.73 deg, I = 37
- 55.33 deg, I = 32

8.
This entry pairs a crystal structure of I2BrCl with its simulated powder XRD pattern. Radiation: CuKα. Structure: the GGA-PBE geometry in Alexandria.

Crystal structure
Lattice parameters (Å, degrees): 5.462 5.462 24.740 90.00 90.00 120.00
Element x y z (fractional)
I (0.037, 0.860, 0.418)
I (0.140, 0.176, 0.752)
I (0.176, 0.140, 0.248)
I (0.824, 0.963, 0.085)
I (0.860, 0.037, 0.582)
I (0.963, 0.824, 0.915)
Br (0.000, 0.393, 0.667)
Br (0.393, 0.000, 0.333)
Br (0.607, 0.607, 0.000)
Cl (0.000, 0.311, 0.167)
Cl (0.311, 0.000, 0.833)
Cl (0.689, 0.689, 0.500)

Principal peaks in the range 2θ from 15° to 90°, in order of falling intensity:
- 20.10 deg, I = 100
- 18.76 deg, I = 50
- 28.72 deg, I = 46
- 23.68 deg, I = 35
- 40.85 deg, I = 30
- 33.60 deg, I = 26

9.
This entry pairs a crystal structure of TmInO3 with its simulated powder XRD pattern. Radiation: CuKα. Structure: the GGA-PBE geometry in Alexandria.

Crystal structure
Lattice parameters (Å, degrees): 5.929 5.929 5.929 56.87 56.87 56.87
Element x y z (fractional)
Tm (0.142, 0.142, 0.142)
Tm (0.858, 0.858, 0.858)
In (0.356, 0.356, 0.356)
In (0.644, 0.644, 0.644)
O (0.049, 0.457, 0.745)
O (0.255, 0.951, 0.543)
O (0.457, 0.745, 0.049)
O (0.543, 0.255, 0.951)
O (0.745, 0.049, 0.457)
O (0.951, 0.543, 0.255)

Principal peaks in the range 2θ from 15° to 90°, in order of falling intensity:
- 30.22 deg, I = 100
- 31.70 deg, I = 96
- 44.36 deg, I = 40
- 55.54 deg, I = 39
- 48.93 deg, I = 32
- 56.46 deg, I = 28

10.
This entry pairs a crystal structure of Na2PrRuO6 with its simulated powder XRD pattern. Radiation: CuKα. Structure: the GGA-PBE geometry in Alexandria.

Crystal structure
Lattice parameters (Å, degrees): 5.703 5.878 9.924 90.00 124.39 90.00
Element x y z (fractional)
Na (0.240, 0.045, 0.252)
Na (0.240, 0.455, 0.752)
Na (0.760, 0.545, 0.248)
Na (0.760, 0.955, 0.748)
Pr (0.500, 0.000, 0.000)
Pr (0.500, 0.500, 0.500)
Ru (0.000, 0.000, 0.500)
Ru (0.000, 0.500, 0.000)
O (0.106, 0.229, 0.940)
O (0.106, 0.271, 0.440)
O (0.224, 0.674, 0.951)
O (0.224, 0.826, 0.451)
O (0.321, 0.039, 0.720)
O (0.321, 0.461, 0.220)
O (0.679, 0.539, 0.780)
O (0.679, 0.961, 0.280)
O (0.776, 0.174, 0.549)
O (0.776, 0.326, 0.049)
O (0.894, 0.729, 0.560)
O (0.894, 0.771, 0.060)

Principal peaks in the range 2θ from 15° to 90°, in order of falling intensity:
- 21.71 deg, I = 100
- 30.76 deg, I = 39
- 31.03 deg, I = 39
- 44.25 deg, I = 33
- 30.41 deg, I = 20
- 31.37 deg, I = 17

11.
This entry pairs a crystal structure of Ba6Cu11F34 with its simulated powder XRD pattern. Radiation: CuKα. Structure: the GGA-PBE geometry in Alexandria.

Crystal structure
Lattice parameters (Å, degrees): 7.568 10.141 10.406 84.14 74.49 70.49
Element x y z (fractional)
Ba (0.138, 0.411, 0.285)
Ba (0.169, 0.157, 0.972)
Ba (0.283, 0.862, 0.649)
Ba (0.717, 0.138, 0.351)
Ba (0.831, 0.843, 0.028)
Ba (0.862, 0.589, 0.715)
Cu (0.204, 0.757, 0.273)
Cu (0.240, 0.241, 0.619)
Cu (0.313, 0.489, 0.818)
Cu (0.318, 0.019, 0.294)
Cu (0.399, 0.758, 0.974)
Cu (0.500, 0.500, 0.500)
Cu (0.601, 0.242, 0.026)
Cu (0.682, 0.981, 0.706)
Cu (0.687, 0.511, 0.182)
Cu (0.760, 0.759, 0.381)
Cu (0.796, 0.243, 0.727)
F (0.012, 0.358, 0.564)
F (0.037, 0.117, 0.755)
F (0.061, 0.612, 0.892)
F (0.080, 0.146, 0.262)
F (0.172, 0.883, 0.923)
F (0.179, 0.364, 0.771)
F (0.206, 0.882, 0.401)
F (0.216, 0.645, 0.134)
F (0.254, 0.604, 0.613)
F (0.310, 0.104, 0.483)
F (0.352, 0.348, 0.994)
F (0.380, 0.906, 0.090)
F (0.400, 0.358, 0.461)
F (0.416, 0.101, 0.711)
F (0.433, 0.157, 0.205)
F (0.437, 0.626, 0.833)
F (0.444, 0.622, 0.301)
F (0.556, 0.378, 0.699)
F (0.563, 0.374, 0.167)
F (0.567, 0.843, 0.795)
F (0.584, 0.899, 0.289)
F (0.600, 0.642, 0.539)
F (0.620, 0.094, 0.910)
F (0.648, 0.652, 0.006)
F (0.690, 0.896, 0.517)
F (0.746, 0.396, 0.387)
F (0.784, 0.355, 0.866)
F (0.794, 0.118, 0.599)
F (0.821, 0.636, 0.229)
F (0.828, 0.117, 0.077)
F (0.920, 0.854, 0.738)
F (0.939, 0.388, 0.108)
F (0.963, 0.883, 0.245)
F (0.988, 0.642, 0.436)

Principal peaks in the range 2θ from 15° to 90°, in order of falling intensity:
- 42.10 deg, I = 100
- 27.09 deg, I = 89
- 25.79 deg, I = 67
- 29.61 deg, I = 64
- 28.32 deg, I = 62
- 26.58 deg, I = 59

12.
This entry pairs a crystal structure of Ca4ZrTa3N8 with its simulated powder XRD pattern. Radiation: CuKα. Structure: the GGA-PBE geometry in Alexandria.

Crystal structure
Lattice parameters (Å, degrees): 6.707 6.707 6.707 57.32 57.32 57.32
Element x y z (fractional)
Ca (0.000, 0.000, 0.000)
Ca (0.000, 0.500, 0.500)
Ca (0.500, 0.000, 0.500)
Ca (0.500, 0.500, 0.000)
Zr (0.500, 0.500, 0.500)
Ta (0.000, 0.000, 0.500)
Ta (0.000, 0.500, 0.000)
Ta (0.500, 0.000, 0.000)
N (0.228, 0.743, 0.743)
N (0.237, 0.237, 0.237)
N (0.257, 0.257, 0.772)
N (0.257, 0.772, 0.257)
N (0.743, 0.228, 0.743)
N (0.743, 0.743, 0.228)
N (0.763, 0.763, 0.763)
N (0.772, 0.257, 0.257)

Principal peaks in the range 2θ from 15° to 90°, in order of falling intensity:
- 38.83 deg, I = 100
- 15.87 deg, I = 87
- 33.91 deg, I = 86
- 32.59 deg, I = 40
- 32.06 deg, I = 37
- 54.84 deg, I = 34

Please write out number 10 again, unchanged.
This entry pairs a crystal structure of Na2PrRuO6 with its simulated powder XRD pattern. Radiation: CuKα. Structure: the GGA-PBE geometry in Alexandria.

Crystal structure
Lattice parameters (Å, degrees): 5.703 5.878 9.924 90.00 124.39 90.00
Element x y z (fractional)
Na (0.240, 0.045, 0.252)
Na (0.240, 0.455, 0.752)
Na (0.760, 0.545, 0.248)
Na (0.760, 0.955, 0.748)
Pr (0.500, 0.000, 0.000)
Pr (0.500, 0.500, 0.500)
Ru (0.000, 0.000, 0.500)
Ru (0.000, 0.500, 0.000)
O (0.106, 0.229, 0.940)
O (0.106, 0.271, 0.440)
O (0.224, 0.674, 0.951)
O (0.224, 0.826, 0.451)
O (0.321, 0.039, 0.720)
O (0.321, 0.461, 0.220)
O (0.679, 0.539, 0.780)
O (0.679, 0.961, 0.280)
O (0.776, 0.174, 0.549)
O (0.776, 0.326, 0.049)
O (0.894, 0.729, 0.560)
O (0.894, 0.771, 0.060)

Principal peaks in the range 2θ from 15° to 90°, in order of falling intensity:
- 21.71 deg, I = 100
- 30.76 deg, I = 39
- 31.03 deg, I = 39
- 44.25 deg, I = 33
- 30.41 deg, I = 20
- 31.37 deg, I = 17